Entry 1:
Structure and computed powder X-ray diffraction pattern of SrMg3Tl4 (a DFT-relaxed cell (PBE, Alexandria); Cu Ka).

Cell and atoms:
```
16
Lattice="10.478 0.000 0.000 0.000 7.850 0.000 0.000 0.000 5.239" Properties=species:S:1:pos:R:3 pbc="T T T"
Sr 0.000 0.000 0.000
Sr 5.239 0.000 0.000
Mg 0.000 3.925 0.000
Mg 2.620 0.000 2.616
Mg 2.620 3.925 2.610
Mg 5.239 3.925 0.000
Mg 7.859 0.000 2.622
Mg 7.859 3.925 2.629
Tl 0.000 2.133 2.619
Tl 0.000 5.717 2.619
Tl 2.620 2.131 5.232
Tl 2.620 5.719 5.232
Tl 5.239 2.133 2.619
Tl 5.239 5.717 2.619
Tl 7.859 2.131 0.007
Tl 7.859 5.719 0.007
```

Principal peaks in the range 15° ≤ 2θ ≤ 90°, by angle:
two_theta	intensity
22.65	27
24.02	51
33.26	100
34.23	53
41.44	23
49.20	23
55.46	11
58.79	17
60.68	36
69.83	12

***

Entry 2:
Structure and computed powder X-ray diffraction pattern of Sr2Mg15Tl2 (a DFT-relaxed cell (PBE, Alexandria); Cu Ka).

Cell and atoms:
```
19
Lattice="5.268 3.041 5.142 -5.268 3.041 5.142 0.000 -6.083 5.142" Properties=species:S:1:pos:R:3 pbc="T T T"
Sr 0.000 0.000 2.547
Sr 0.000 0.000 12.880
Mg -2.634 -1.521 5.142
Mg 0.000 -3.115 4.961
Mg -2.698 1.558 4.961
Mg -1.594 -2.762 7.713
Mg -3.189 0.000 7.713
Mg -2.698 -1.558 10.465
Mg -2.634 1.521 10.284
Mg 1.594 -2.762 7.713
Mg 0.000 3.041 5.142
Mg -1.594 2.762 7.713
Mg 2.698 1.558 4.961
Mg 3.189 0.000 7.713
Mg 1.594 2.762 7.713
Mg 2.698 -1.558 10.465
Mg 0.000 3.115 10.465
Tl 0.000 0.000 6.117
Tl 0.000 0.000 9.310
```

Principal peaks in the range 15° ≤ 2θ ≤ 90°, by angle:
two_theta	intensity
16.83	100
25.07	37
29.37	62
30.35	35
30.59	27
34.04	57
34.90	41
35.11	30
39.18	30
62.17	24

***

Entry 3:
Structure and computed powder X-ray diffraction pattern of SrMg5Tl8 (a DFT-relaxed cell (PBE, Alexandria); Cu Ka).

Cell and atoms:
```
14
Lattice="-4.591 4.591 4.623 4.591 -4.591 4.623 4.591 4.591 -4.623" Properties=species:S:1:pos:R:3 pbc="T T T"
Sr 0.000 0.000 0.000
Mg 2.034 3.350 -1.498
Mg 5.831 2.034 1.498
Mg 2.557 1.240 3.125
Mg 0.000 4.591 2.311
Mg -1.240 2.557 6.121
Tl 3.178 0.854 0.189
Tl 5.241 3.035 -1.504
Tl 3.737 -1.413 4.434
Tl -0.650 1.556 3.119
Tl 3.035 3.940 1.504
Tl 0.854 6.003 -0.189
Tl 1.556 0.650 6.127
Tl 1.413 3.737 4.812
```

Principal peaks in the range 15° ≤ 2θ ≤ 90°, by angle:
two_theta	intensity
23.69	100
27.39	20
30.60	39
30.78	68
36.50	84
36.60	57
48.52	21
50.47	17
50.69	20
62.25	22

***

Entry 4:
Structure and computed powder X-ray diffraction pattern of Sr3MgTl6 (a DFT-relaxed cell (PBE, Alexandria); Cu Ka).

Cell and atoms:
```
20
Lattice="6.585 3.802 4.337 -6.585 3.802 4.337 0.000 -7.604 4.337" Properties=species:S:1:pos:R:3 pbc="T T T"
Sr -3.326 1.843 5.421
Sr -3.259 -1.959 7.589
Sr 0.067 -3.802 5.421
Sr -0.067 3.802 7.589
Sr 3.259 1.959 5.421
Sr 3.326 -1.843 7.589
Mg 0.000 0.000 0.000
Mg 0.000 0.000 6.505
Tl -0.023 -2.227 2.139
Tl -1.917 1.133 2.139
Tl -1.917 -1.133 4.367
Tl 1.940 1.094 2.139
Tl -0.023 2.227 4.367
Tl 1.940 -1.094 4.367
Tl -1.940 1.094 8.644
Tl 0.023 -2.227 8.644
Tl -1.940 -1.094 10.872
Tl 1.917 1.133 8.644
Tl 1.917 -1.133 10.872
Tl 0.023 2.227 10.872
```

Principal peaks in the range 15° ≤ 2θ ≤ 90°, by angle:
two_theta	intensity
15.68	29
23.40	40
28.54	21
31.45	100
31.67	26
34.34	24
39.75	36
41.12	21
58.38	15
59.97	19

***

Entry 5:
Structure and computed powder X-ray diffraction pattern of SrMg15Tl4 (a DFT-relaxed cell (PBE, Alexandria); Cu Ka).

Cell and atoms:
```
20
Lattice="4.854 0.000 0.000 0.000 4.854 0.000 0.000 0.000 20.891" Properties=species:S:1:pos:R:3 pbc="T T T"
Sr 0.000 0.000 0.000
Mg 0.000 2.427 2.414
Mg 0.000 2.427 6.447
Mg 0.000 2.427 10.446
Mg 0.000 2.427 14.444
Mg 0.000 2.427 18.477
Mg 2.427 0.000 2.414
Mg 2.427 0.000 6.447
Mg 2.427 0.000 10.446
Mg 2.427 0.000 14.444
Mg 2.427 0.000 18.477
Mg 2.427 2.427 0.000
Mg 2.427 2.427 4.477
Mg 2.427 2.427 8.439
Mg 2.427 2.427 12.452
Mg 2.427 2.427 16.414
Tl 0.000 0.000 4.416
Tl 0.000 0.000 8.473
Tl 0.000 0.000 12.418
Tl 0.000 0.000 16.475
```

Principal peaks in the range 15° ≤ 2θ ≤ 90°, by angle:
two_theta	intensity
18.28	85
21.27	28
25.96	37
28.18	57
33.79	100
37.04	42
41.60	22
43.10	19
47.18	29
64.69	30

***

Entry 6:
Structure and computed powder X-ray diffraction pattern of SrMg2Tl4Zn (a DFT-relaxed cell (PBE, Alexandria); Cu Ka).

Cell and atoms:
```
8
Lattice="2.594 1.498 9.277 -2.594 1.498 9.277 0.000 -2.995 9.277" Properties=species:S:1:pos:R:3 pbc="T T T"
Sr 0.000 0.000 0.000
Mg 0.000 0.000 6.920
Mg 0.000 0.000 20.911
Tl 0.000 0.000 3.617
Tl 0.000 0.000 10.918
Tl 0.000 0.000 16.913
Tl 0.000 0.000 24.214
Zn 0.000 0.000 13.915
```

Principal peaks in the range 15° ≤ 2θ ≤ 90°, by angle:
two_theta	intensity
23.57	76
30.01	16
32.55	84
34.58	100
40.94	16
42.28	17
48.22	28
60.69	29
61.44	18
61.97	19

***

Entry 7:
Structure and computed powder X-ray diffraction pattern of SrTm4Mg5 (a DFT-relaxed cell (PBE, Alexandria); Cu Ka).

Cell and atoms:
```
10
Lattice="3.806 0.000 0.000 0.000 3.806 0.000 0.000 0.000 19.482" Properties=species:S:1:pos:R:3 pbc="T T T"
Sr 0.000 0.000 0.000
Tm 0.000 0.000 4.264
Tm 0.000 0.000 7.909
Tm 0.000 0.000 11.574
Tm 0.000 0.000 15.218
Mg 1.903 1.903 2.399
Mg 1.903 1.903 6.078
Mg 1.903 1.903 9.741
Mg 1.903 1.903 13.404
Mg 1.903 1.903 17.083
```

Principal peaks in the range 15° ≤ 2θ ≤ 90°, by angle:
two_theta	intensity
22.82	32
23.37	71
32.90	100
33.29	58
36.37	19
40.75	29
47.80	21
53.60	13
53.87	15
59.24	37

***

Entry 8:
Structure and computed powder X-ray diffraction pattern of SrY3Mg4 (a DFT-relaxed cell (PBE, Alexandria); Cu Ka).

Cell and atoms:
```
8
Lattice="5.521 0.000 0.000 0.000 5.521 0.000 0.000 0.000 7.718" Properties=species:S:1:pos:R:3 pbc="T T T"
Sr 0.000 0.000 0.000
Y 0.000 0.000 3.859
Y 2.760 2.760 0.000
Y 2.760 2.760 3.859
Mg 0.000 2.760 2.042
Mg 0.000 2.760 5.676
Mg 2.760 0.000 2.042
Mg 2.760 0.000 5.676
```

Principal peaks in the range 15° ≤ 2θ ≤ 90°, by angle:
two_theta	intensity
22.78	39
23.05	19
32.43	51
32.63	100
40.16	18
46.53	18
47.10	9
57.98	37
58.35	18
68.36	11

***

Entry 9:
Structure and computed powder X-ray diffraction pattern of Sr2MgZn3 (a DFT-relaxed cell (PBE, Alexandria); Cu Ka).

Cell and atoms:
```
6
Lattice="-2.244 2.337 8.028 2.244 -2.337 8.028 2.244 2.337 -8.028" Properties=species:S:1:pos:R:3 pbc="T T T"
Sr 0.000 0.000 0.000
Sr 0.000 2.337 4.282
Mg 0.000 0.000 9.519
Zn 2.244 0.000 2.928
Zn 2.244 0.000 5.513
Zn 0.000 0.000 6.746
```

Principal peaks in the range 15° ≤ 2θ ≤ 90°, by angle:
two_theta	intensity
25.30	16
29.76	100
33.87	36
34.34	21
38.52	24
40.19	23
44.35	23
53.54	19
56.89	15
60.17	18

***

Entry 10:
Structure and computed powder X-ray diffraction pattern of SrMg3Zn3 (a DFT-relaxed cell (PBE, Alexandria); Cu Ka).

Cell and atoms:
```
14
Lattice="9.324 0.000 0.000 -4.662 8.075 0.000 0.000 0.000 4.355" Properties=species:S:1:pos:R:3 pbc="T T T"
Sr 0.000 5.383 1.089
Sr 4.662 2.692 3.266
Mg -3.146 6.260 3.266
Mg 0.813 2.220 3.266
Mg 2.329 0.405 1.089
Mg 2.333 7.669 3.266
Mg 3.849 5.855 1.089
Mg 7.808 1.814 1.089
Zn -1.642 3.661 3.266
Zn -0.671 7.666 3.266
Zn 2.350 3.252 1.089
Zn 2.312 4.823 3.266
Zn 5.333 0.409 1.089
Zn 6.304 4.414 1.089
```

Principal peaks in the range 15° ≤ 2θ ≤ 90°, by angle:
two_theta	intensity
22.02	12
28.04	12
29.26	26
30.19	34
33.29	12
35.93	100
40.27	13
41.47	22
45.55	27
72.04	12

***

Entry 11:
Structure and computed powder X-ray diffraction pattern of SrMg9Zn2 (a DFT-relaxed cell (PBE, Alexandria); Cu Ka).

Cell and atoms:
```
24
Lattice="-6.025 6.025 3.864 6.025 -6.025 3.864 6.025 6.025 -3.864" Properties=species:S:1:pos:R:3 pbc="T T T"
Sr 6.025 3.012 0.966
Sr 0.000 3.012 2.898
Mg 6.025 -3.012 2.898
Mg 4.537 -0.599 1.450
Mg 7.513 -0.599 1.450
Mg 2.413 1.524 0.482
Mg 9.636 1.524 0.482
Mg 4.537 5.425 -1.450
Mg 1.488 -0.599 2.414
Mg 2.413 4.500 0.482
Mg 3.612 -1.524 4.346
Mg 2.413 7.549 -0.482
Mg 3.612 1.524 3.382
Mg 4.537 6.624 1.450
Mg 1.488 0.599 5.313
Mg -3.612 4.500 3.382
Mg 3.612 4.500 3.382
Mg -1.488 6.624 2.414
Mg 1.488 6.624 2.414
Mg 0.000 9.037 0.966
Zn 0.000 0.000 0.000
Zn 3.012 3.012 -1.932
Zn 3.012 -3.012 1.932
Zn 0.000 6.025 0.000
```

Principal peaks in the range 15° ≤ 2θ ≤ 90°, by angle:
two_theta	intensity
20.09	98
29.11	92
29.66	39
33.02	100
33.25	66
35.64	53
39.16	51
40.83	76
42.04	33
51.97	48

***

Entry 12:
Structure and computed powder X-ray diffraction pattern of Sr4MgZn3 (a DFT-relaxed cell (PBE, Alexandria); Cu Ka).

Cell and atoms:
```
8
Lattice="4.693 0.000 0.000 0.000 4.759 0.000 0.000 0.000 12.102" Properties=species:S:1:pos:R:3 pbc="T T T"
Sr 0.000 0.000 0.000
Sr 0.000 2.380 5.816
Sr 2.347 0.000 8.420
Sr 2.347 2.380 2.473
Mg 0.000 2.380 9.537
Zn 0.000 0.000 3.484
Zn 2.347 0.000 4.840
Zn 2.347 2.380 11.060
```

Principal peaks in the range 15° ≤ 2θ ≤ 90°, by angle:
two_theta	intensity
27.69	100
29.02	59
34.86	50
35.29	32
37.80	28
38.36	27
48.80	27
52.68	19
54.95	18
63.63	18